Starting from a crystal structure in the Materials Project, relaxed with GGA-PBE, the PXRD pattern of NaTiCuS3 was calculated for copper Kα.
Kinematic intensities with the Lorentz-polarization factor, no thermal factor.

Principal peaks in the range 10° ≤ 2θ ≤ 90°, by intensity:
hkl 2 0 0, 2θ 13.64, I 100
hkl 3 1 2, 2θ 37.63, I 39
hkl 5 1 2, 2θ 47.24, I 35
hkl 3 1 1, 2θ 33.84, I 28
hkl 2 1 3, 2θ 40.27, I 20
hkl 1 0 1, 2θ 11.45, I 16
hkl 0 2 0, 2θ 51.11, I 14
hkl 1 1 2, 2θ 31.96, I 10
hkl 2 0 3, 2θ 31.12, I 10
hkl 2 0 4, 2θ 40.00, I 9

Atomic structure:
```
NaTiCuS3
1.0
12.9806 0.0000 0.0000
0.0000 3.5741 0.0000
0.0000 0.0000 9.6141
Na Ti Cu S
4 4 4 12
Direct
0.2342 0.2500 0.0430
0.2658 0.7500 0.5430
0.7342 0.2500 0.4570
0.7658 0.7500 0.9570
0.0124 0.2500 0.3259
0.4876 0.7500 0.8259
0.5124 0.2500 0.1741
0.9876 0.7500 0.6741
0.0129 0.7500 0.0959
0.4871 0.2500 0.5959
0.5129 0.7500 0.4041
0.9871 0.2500 0.9041
0.0939 0.2500 0.5656
0.0988 0.7500 0.8719
0.1349 0.7500 0.2625
0.3651 0.2500 0.7625
0.4012 0.2500 0.3719
0.4061 0.7500 0.0656
0.5939 0.2500 0.9344
0.5988 0.7500 0.6281
0.6349 0.7500 0.2375
0.8651 0.2500 0.7375
0.9012 0.2500 0.1281
0.9061 0.7500 0.4344
```